Record 1
Er2Cu12Ni5: simulated powder diffraction line list (CuKα), based on a structure optimized by DFT (GGA-PBE).

```
Er2Cu12Ni5
1.0
4.2153 2.4337 4.1117
-4.2153 2.4337 4.1117
0.0000 -4.8674 4.1117
Er Cu Ni
2 12 5
Direct
0.1713 0.1713 0.1713
0.8287 0.8287 0.8287
0.1529 0.1529 0.6523
0.1529 0.6523 0.1529
0.2060 0.5000 0.7940
0.2060 0.7940 0.5000
0.3477 0.8471 0.8471
0.5000 0.2060 0.7940
0.5000 0.7940 0.2060
0.6523 0.1529 0.1529
0.7940 0.2060 0.5000
0.7940 0.5000 0.2060
0.8471 0.3477 0.8471
0.8471 0.8471 0.3477
0.0000 0.5000 0.5000
0.4005 0.4005 0.4005
0.5000 0.0000 0.5000
0.5000 0.5000 0.0000
0.5995 0.5995 0.5995
```

The 10 most intense peaks (15° ≤ 2θ ≤ 90°), low angle first:
2θ (°)  I_rel
30.37  33
36.94  41
38.20  21
42.91  59
43.20  100
44.05  40
44.32  23
48.54  22
63.18  22
80.41  19

Record 2
AcThCoI: simulated powder diffraction line list (CuKα), based on a structure optimized by DFT (GGA-PBE).

```
AcThCoI
1.0
7.1687 0.0000 0.0000
0.0000 4.1785 0.0000
-2.4216 0.0000 8.4492
Ac Th Co I
2 2 2 2
Direct
0.0000 0.0000 0.0000
0.5000 0.5000 0.0000
0.2813 0.5000 0.3523
0.7813 0.0000 0.3523
0.4015 0.0000 0.2059
0.9015 0.5000 0.2059
0.2213 0.0000 0.6645
0.7213 0.5000 0.6645
```

The 10 most intense peaks (15° ≤ 2θ ≤ 90°), low angle first:
2θ (°)  I_rel
24.92  28
28.51  90
30.37  100
30.60  48
31.77  34
43.31  23
43.65  76
53.44  18
53.96  20
54.70  15

Record 3
Nb5TcW4: simulated powder diffraction line list (CuKα), based on a structure optimized by DFT (GGA-PBE).

```
Nb5TcW4
1.0
3.2321 0.0000 0.0000
0.0000 3.2321 0.0000
0.0000 0.0000 16.1789
Nb Tc W
5 1 4
Direct
0.0000 0.0000 0.0000
0.0000 0.0000 0.2015
0.0000 0.0000 0.4021
0.0000 0.0000 0.5979
0.0000 0.0000 0.7985
0.5000 0.5000 0.5000
0.5000 0.5000 0.1004
0.5000 0.5000 0.3013
0.5000 0.5000 0.6987
0.5000 0.5000 0.8996
```

The 10 most intense peaks (15° ≤ 2θ ≤ 90°), low angle first:
2θ (°)  I_rel
27.59  9
28.15  1
29.77  1
35.55  1
39.41  100
48.78  3
56.96  17
64.44  4
71.47  34
84.81  11

Record 4
Tb8Te3As3P: simulated powder diffraction line list (CuKα), based on a structure optimized by DFT (GGA-PBE).

```
Tb8Te3As3P
1.0
4.1679 2.4063 7.0416
-4.1679 2.4063 7.0416
0.0000 -4.8127 7.0416
Tb Te As P
8 3 3 1
Direct
0.2390 0.2390 0.2390
0.2445 0.7370 0.7370
0.2630 0.2630 0.7555
0.2630 0.7555 0.2630
0.7370 0.2445 0.7370
0.7370 0.7370 0.2445
0.7555 0.2630 0.2630
0.7610 0.7610 0.7610
0.0000 0.5000 0.5000
0.5000 0.0000 0.5000
0.5000 0.5000 0.0000
0.0000 0.0000 0.5000
0.0000 0.5000 0.0000
0.5000 0.0000 0.0000
0.5000 0.5000 0.5000
```

The 10 most intense peaks (15° ≤ 2θ ≤ 90°), low angle first:
2θ (°)  I_rel
26.09  15
29.99  100
42.41  34
43.42  38
53.67  19
62.32  11
69.96  12
71.41  17
79.00  11
79.69  6

Record 5
YAl3: simulated powder diffraction line list (CuKα), based on a structure optimized by DFT (GGA-PBE).

```
YAl3
1.0
6.0157 0.0000 0.0000
0.0000 14.2491 0.0000
0.0000 0.0000 5.5929
Y Al
6 18
Direct
0.2500 0.1013 0.1542
0.2500 0.3987 0.1542
0.2500 0.7500 0.5797
0.7500 0.2500 0.4203
0.7500 0.6013 0.8458
0.7500 0.8987 0.8458
0.0081 0.5803 0.3478
0.0081 0.9197 0.3478
0.0368 0.7500 0.0727
0.2500 0.2500 0.5646
0.2500 0.5729 0.8470
0.2500 0.9271 0.8470
0.4632 0.7500 0.0727
0.4919 0.5803 0.3478
0.4919 0.9197 0.3478
0.5081 0.0803 0.6522
0.5081 0.4197 0.6522
0.5368 0.2500 0.9273
0.7500 0.0729 0.1530
0.7500 0.4271 0.1530
0.7500 0.7500 0.4354
0.9632 0.2500 0.9273
0.9919 0.0803 0.6522
0.9919 0.4197 0.6522
```

The 10 most intense peaks (15° ≤ 2θ ≤ 90°), low angle first:
2θ (°)  I_rel
22.59  38
23.87  69
29.72  38
33.33  43
34.44  79
36.18  68
37.32  100
37.88  63
38.93  50
42.53  58

Record 6
Na2Ac3Tl4Cd2: simulated powder diffraction line list (CuKα), based on a structure optimized by DFT (GGA-PBE).

```
Na2Ac3Tl4Cd2
1.0
5.1120 0.0000 0.0000
-2.5560 4.4272 0.0000
0.0000 0.0000 16.4379
Na Ac Tl Cd
2 3 4 2
Direct
0.3333 0.6667 0.0608
0.6667 0.3333 0.9392
0.0000 0.0000 0.2463
0.0000 0.0000 0.5000
0.0000 0.0000 0.7537
0.3333 0.6667 0.3879
0.3333 0.6667 0.8561
0.6667 0.3333 0.1439
0.6667 0.3333 0.6121
0.3333 0.6667 0.6427
0.6667 0.3333 0.3573
```

The 10 most intense peaks (15° ≤ 2θ ≤ 90°), low angle first:
2θ (°)  I_rel
22.82  36
29.66  100
33.96  17
35.11  77
38.65  11
46.60  30
57.56  23
59.66  29
62.99  14
81.88  12

Record 7
Pm3DySc3: simulated powder diffraction line list (CuKα), based on a structure optimized by DFT (GGA-PBE).

```
Pm3DySc3
1.0
4.1971 2.4232 7.0621
-4.1971 2.4232 7.0621
0.0000 -4.8464 7.0621
Pm Dy Sc
6 2 6
Direct
0.0657 0.2150 0.5721
0.2150 0.5721 0.0657
0.4279 0.9343 0.7850
0.5721 0.0657 0.2150
0.7850 0.4279 0.9343
0.9343 0.7850 0.4279
0.1553 0.1553 0.1553
0.8447 0.8447 0.8447
0.2238 0.4390 0.6693
0.3307 0.7762 0.5610
0.4390 0.6693 0.2238
0.5610 0.3307 0.7762
0.6693 0.2238 0.4390
0.7762 0.5610 0.3307
```

The 10 most intense peaks (15° ≤ 2θ ≤ 90°), low angle first:
2θ (°)  I_rel
24.67  100
29.81  73
32.03  35
32.45  29
32.87  95
33.16  84
33.70  38
45.81  24
54.70  44
59.75  18

Record 8
La2Sm7DyTl2: simulated powder diffraction line list (CuKα), based on a structure optimized by DFT (GGA-PBE).

```
La2Sm7DyTl2
1.0
5.0520 -3.4921 0.0000
5.0520 3.4921 0.0000
-0.0087 0.0000 11.3703
La Sm Dy Tl
2 7 1 2
Direct
0.0000 0.0000 0.1458
0.0000 0.0000 0.8542
0.0000 0.0000 0.5000
0.9998 0.4999 0.3337
0.0002 0.5001 0.6663
0.3189 0.3189 0.9996
0.4999 0.9998 0.3337
0.5001 0.0002 0.6663
0.6811 0.6811 0.0004
0.5000 0.5000 0.5000
0.4996 0.4996 0.2288
0.5004 0.5004 0.7712
```

The 10 most intense peaks (15° ≤ 2θ ≤ 90°), low angle first:
2θ (°)  I_rel
29.46  100
31.13  72
32.14  24
33.48  22
34.96  51
35.23  28
35.54  31
50.69  38
61.10  22
61.26  25